# NdInPd
Calculated powder diffractogram, Cu Kα (weighted mean of Kα1 and Kα2). Input: a DFT-relaxed cell (GGA-PBE, the Materials Project).

The 8 most intense peaks (2θ from 10° to 80°), most intense first:
| 2θ/deg | Rel. int. |
| --- | --- |
| 32.0 | 100.0 |
| 34.7 | 98.3 |
| 35.0 | 53.8 |
| 39.8 | 36.2 |
| 64.2 | 33.1 |
| 41.8 | 25.8 |
| 45.3 | 25.7 |
| 58.5 | 23.8 |

Cell and atoms:
```
data_NdInPd
_chemical_formula_sum 'Nd3 In3 Pd3'
_symmetry_space_group_name_H-M 'P -6 2 m'
_symmetry_Int_Tables_number 189
_symmetry_space_group_name_Hall 'P -6 -2'
_cell_length_a 7.8364
_cell_length_b 7.8364
_cell_length_c 3.9998
_cell_angle_alpha 90.00
_cell_angle_beta 90.00
_cell_angle_gamma 120.00
loop_
_atom_site_label
_atom_site_fract_x
_atom_site_fract_y
_atom_site_fract_z
Nd1 0.0000 0.4114 0.0000
In1 0.0000 0.7465 0.5000
Pd1 0.0000 0.0000 0.0000
Pd2 0.3333 0.6667 0.5000
```


# NdInPd
Calculated powder diffractogram, Cu Kα (weighted mean of Kα1 and Kα2). Input: a DFT-relaxed cell (GGA-PBE, the Materials Project).

The 8 most intense peaks (2θ from 10° to 80°), most intense first:
| 2θ/deg | Rel. int. |
| --- | --- |
| 32.2 | 100.0 |
| 38.6 | 63.2 |
| 31.9 | 52.3 |
| 34.6 | 34.2 |
| 38.1 | 32.7 |
| 62.8 | 28.2 |
| 47.3 | 27.1 |
| 34.8 | 27.1 |

Cell and atoms:
```
data_NdInPd
_chemical_formula_sum 'Nd6 In6 Pd6'
_symmetry_space_group_name_H-M 'C 1 2 1'
_symmetry_Int_Tables_number 5
_cell_length_a 14.162
_cell_length_b 8.061
_cell_length_c 3.842
_cell_angle_alpha 90.00
_cell_angle_beta 90.62
_cell_angle_gamma 90.00
loop_
_symmetry_equiv_pos_as_xyz
'x,y,z'
'-x,y,-z'
'x+1/2,y+1/2,z'
'-x+1/2,y+1/2,-z'
loop_
_atom_site_label
_atom_site_fract_x
_atom_site_fract_y
_atom_site_fract_z
Nd1 0.000 0.000 0.000
Nd2 0.140 0.578 0.996
In1 0.000 0.338 0.500
In2 0.191 0.912 0.504
Pd1 0.000 0.719 0.500
Pd2 0.167 0.217 0.016
```


# PmNdIn2
Calculated powder diffractogram, Cu Kα (weighted mean of Kα1 and Kα2). Input: a DFT-relaxed cell (GGA-PBE, the Materials Project).

The 7 most intense peaks (2θ from 10° to 80°), most intense first:
| 2θ/deg | Rel. int. |
| --- | --- |
| 32.7 | 100.0 |
| 58.4 | 37.3 |
| 46.9 | 18.1 |
| 78.0 | 15.9 |
| 68.5 | 11.4 |
| 23.0 | 1.4 |
| 52.9 | 0.7 |

Cell and atoms:
```
data_PmNdIn2
_chemical_formula_sum 'Pm4 Nd4 In8'
_symmetry_space_group_name_H-M 'F m -3 m'
_symmetry_Int_Tables_number 225
_symmetry_space_group_name_Hall '-F 4 2 3'
_cell_length_a 7.744
_cell_length_b 7.744
_cell_length_c 7.744
_cell_angle_alpha 90.00
_cell_angle_beta 90.00
_cell_angle_gamma 90.00
loop_
_atom_site_label
_atom_site_fract_x
_atom_site_fract_y
_atom_site_fract_z
Pm1 0.000 0.000 0.000
Nd1 0.000 0.000 0.500
In1 0.250 0.250 0.250
```


# PrNdIn2
Calculated powder diffractogram, Cu Kα (weighted mean of Kα1 and Kα2). Input: a DFT-relaxed cell (GGA-PBE, the Materials Project).

The 7 most intense peaks (2θ from 10° to 80°), most intense first:
| 2θ/deg | Rel. int. |
| --- | --- |
| 32.5 | 100.0 |
| 58.0 | 37.4 |
| 46.6 | 18.1 |
| 77.5 | 15.9 |
| 68.1 | 11.5 |
| 22.8 | 1.2 |
| 52.5 | 0.6 |

Cell and atoms:
```
data_PrNdIn2
_chemical_formula_sum 'Pr4 Nd4 In8'
_symmetry_space_group_name_H-M 'F m -3 m'
_symmetry_Int_Tables_number 225
_symmetry_space_group_name_Hall '-F 4 2 3'
_cell_length_a 7.791
_cell_length_b 7.791
_cell_length_c 7.791
_cell_angle_alpha 90.00
_cell_angle_beta 90.00
_cell_angle_gamma 90.00
loop_
_atom_site_label
_atom_site_fract_x
_atom_site_fract_y
_atom_site_fract_z
Pr1 0.000 0.000 0.000
Nd1 0.000 0.000 0.500
In1 0.250 0.250 0.250
```


# Nd6In22Pt13
Calculated powder diffractogram, Cu Kα (weighted mean of Kα1 and Kα2). Input: a DFT-relaxed cell (GGA-PBE, the Materials Project).

The 8 most intense peaks (2θ from 10° to 80°), most intense first:
| 2θ/deg | Rel. int. |
| --- | --- |
| 40.0 | 100.0 |
| 33.9 | 68.3 |
| 34.5 | 62.8 |
| 40.7 | 52.3 |
| 33.3 | 49.9 |
| 31.7 | 44.0 |
| 35.8 | 38.7 |
| 33.6 | 37.5 |

Cell and atoms:
```
data_Nd6In22Pt13
_chemical_formula_sum 'Nd12 In44 Pt26'
_symmetry_space_group_name_H-M 'C 1 2/m 1'
_symmetry_Int_Tables_number 12
_cell_length_a 28.686
_cell_length_b 4.503
_cell_length_c 15.141
_cell_angle_alpha 90.00
_cell_angle_beta 112.40
_cell_angle_gamma 90.00
loop_
_symmetry_equiv_pos_as_xyz
'x,y,z'
'-x,-y,-z'
'-x,y,-z'
'x,-y,z'
'x+1/2,y+1/2,z'
'-x+1/2,-y+1/2,-z'
'-x+1/2,y+1/2,-z'
'x+1/2,-y+1/2,z'
loop_
_atom_site_label
_atom_site_fract_x
_atom_site_fract_y
_atom_site_fract_z
Nd1 0.046 0.000 0.199
Nd2 0.163 0.500 0.030
Nd3 0.178 0.500 0.580
In1 0.029 0.000 0.679
In2 0.043 0.500 0.840
In3 0.056 0.500 0.564
In4 0.065 0.000 0.002
In5 0.092 0.000 0.453
In6 0.124 0.500 0.331
In7 0.143 0.500 0.782
In8 0.174 0.000 0.220
In9 0.213 0.000 0.935
In10 0.228 0.000 0.748
In11 0.237 0.500 0.416
Pt1 0.000 0.500 0.000
Pt2 0.033 0.500 0.361
Pt3 0.099 0.500 0.136
Pt4 0.107 0.000 0.863
Pt5 0.119 0.000 0.651
Pt6 0.179 0.000 0.412
Pt7 0.248 0.000 0.136
```


# Nd12InPt7
Calculated powder diffractogram, Cu Kα (weighted mean of Kα1 and Kα2). Input: a DFT-relaxed cell (GGA-PBE, the Materials Project).

The 8 most intense peaks (2θ from 10° to 80°), most intense first:
| 2θ/deg | Rel. int. |
| --- | --- |
| 33.8 | 100.0 |
| 31.0 | 67.8 |
| 35.6 | 52.7 |
| 32.3 | 39.9 |
| 33.1 | 37.2 |
| 31.3 | 35.2 |
| 43.6 | 29.3 |
| 32.1 | 19.3 |

Cell and atoms:
```
data_Nd12InPt7
_chemical_formula_sum 'Nd48 In4 Pt28'
_symmetry_space_group_name_H-M 'I 4/m c m'
_symmetry_Int_Tables_number 140
_symmetry_space_group_name_Hall '-I 4 2c'
_cell_length_a 12.118
_cell_length_b 12.118
_cell_length_c 14.672
_cell_angle_alpha 90.00
_cell_angle_beta 90.00
_cell_angle_gamma 90.00
loop_
_atom_site_label
_atom_site_fract_x
_atom_site_fract_y
_atom_site_fract_z
Nd1 0.000 0.500 0.134
Nd2 0.072 0.208 0.142
Nd3 0.177 0.323 0.500
In1 0.000 0.000 0.000
Pt1 0.000 0.000 0.250
Pt2 0.126 0.374 0.000
Pt3 0.176 0.324 0.305
```


# Nd5In4Pt2
Calculated powder diffractogram, Cu Kα (weighted mean of Kα1 and Kα2). Input: a DFT-relaxed cell (GGA-PBE, the Materials Project).

The 8 most intense peaks (2θ from 10° to 80°), most intense first:
| 2θ/deg | Rel. int. |
| --- | --- |
| 33.3 | 100.0 |
| 32.2 | 73.8 |
| 35.1 | 67.2 |
| 35.3 | 63.2 |
| 33.6 | 35.9 |
| 48.0 | 28.3 |
| 35.9 | 22.5 |
| 17.7 | 17.6 |

Cell and atoms:
```
data_Nd5In4Pt2
_chemical_formula_sum 'Nd10 In8 Pt4'
_symmetry_space_group_name_H-M 'P b a m'
_symmetry_Int_Tables_number 55
_cell_length_a 8.333
_cell_length_b 18.776
_cell_length_c 3.793
_cell_angle_alpha 90.00
_cell_angle_beta 90.00
_cell_angle_gamma 90.00
loop_
_symmetry_equiv_pos_as_xyz
'x,y,z'
'-x,-y,-z'
'-x,-y,z'
'x,y,-z'
'x+1/2,-y+1/2,-z'
'-x+1/2,y+1/2,z'
'-x+1/2,y+1/2,-z'
'x+1/2,-y+1/2,z'
loop_
_atom_site_label
_atom_site_fract_x
_atom_site_fract_y
_atom_site_fract_z
Nd1 0.000 0.000 0.000
Nd2 0.117 0.415 0.000
Nd3 0.243 0.219 0.000
In1 0.073 0.850 0.500
In2 0.208 0.568 0.500
Pt1 0.024 0.303 0.500
```


# Nd2InRh2
Calculated powder diffractogram, Cu Kα (weighted mean of Kα1 and Kα2). Input: a DFT-relaxed cell (GGA-PBE, the Materials Project).

The 8 most intense peaks (2θ from 10° to 80°), most intense first:
| 2θ/deg | Rel. int. |
| --- | --- |
| 34.7 | 100.0 |
| 37.5 | 39.7 |
| 32.5 | 31.9 |
| 60.2 | 19.5 |
| 45.3 | 16.8 |
| 54.9 | 13.5 |
| 70.9 | 11.2 |
| 76.7 | 9.7 |

Cell and atoms:
```
data_Nd2InRh2
_chemical_formula_sum 'Nd4 In2 Rh4'
_symmetry_space_group_name_H-M 'P 4/m b m'
_symmetry_Int_Tables_number 127
_symmetry_space_group_name_Hall '-P 4 2ab'
_cell_length_a 7.587
_cell_length_b 7.587
_cell_length_c 4.003
_cell_angle_alpha 90.00
_cell_angle_beta 90.00
_cell_angle_gamma 90.00
loop_
_atom_site_label
_atom_site_fract_x
_atom_site_fract_y
_atom_site_fract_z
Nd1 0.173 0.327 0.000
In1 0.000 0.000 0.500
Rh1 0.130 0.630 0.500
```


# NdIn5Rh
Calculated powder diffractogram, Cu Kα (weighted mean of Kα1 and Kα2). Input: a DFT-relaxed cell (GGA-PBE, the Materials Project).

The 8 most intense peaks (2θ from 10° to 80°), most intense first:
| 2θ/deg | Rel. int. |
| --- | --- |
| 35.6 | 100.0 |
| 38.0 | 53.8 |
| 29.1 | 30.4 |
| 67.1 | 30.1 |
| 54.8 | 18.1 |
| 52.6 | 17.9 |
| 35.0 | 14.7 |
| 67.0 | 10.8 |

Cell and atoms:
```
data_NdIn5Rh
_chemical_formula_sum 'Nd1 In5 Rh1'
_symmetry_space_group_name_H-M 'P 4/m m m'
_symmetry_Int_Tables_number 123
_symmetry_space_group_name_Hall '-P 4 2'
_cell_length_a 4.734
_cell_length_b 4.734
_cell_length_c 7.688
_cell_angle_alpha 90.00
_cell_angle_beta 90.00
_cell_angle_gamma 90.00
loop_
_atom_site_label
_atom_site_fract_x
_atom_site_fract_y
_atom_site_fract_z
Nd1 0.000 0.000 0.000
In1 0.000 0.500 0.303
In2 0.500 0.500 0.000
Rh1 0.000 0.000 0.500
```


# NdInRh2
Calculated powder diffractogram, Cu Kα (weighted mean of Kα1 and Kα2). Input: a DFT-relaxed cell (GGA-PBE, the Materials Project).

The 7 most intense peaks (2θ from 10° to 80°), most intense first:
| 2θ/deg | Rel. int. |
| --- | --- |
| 37.5 | 100.0 |
| 67.6 | 34.3 |
| 54.0 | 17.1 |
| 79.9 | 10.7 |
| 26.3 | 1.3 |
| 22.7 | 0.8 |
| 61.0 | 0.5 |

Cell and atoms:
```
data_NdInRh2
_chemical_formula_sum 'Nd4 In4 Rh8'
_symmetry_space_group_name_H-M 'F m -3 m'
_symmetry_Int_Tables_number 225
_symmetry_space_group_name_Hall '-F 4 2 3'
_cell_length_a 6.789
_cell_length_b 6.789
_cell_length_c 6.789
_cell_angle_alpha 90.00
_cell_angle_beta 90.00
_cell_angle_gamma 90.00
loop_
_atom_site_label
_atom_site_fract_x
_atom_site_fract_y
_atom_site_fract_z
Nd1 0.000 0.000 0.000
In1 0.000 0.000 0.500
Rh1 0.250 0.250 0.250
```


# Nd3InS6
Calculated powder diffractogram, Cu Kα (weighted mean of Kα1 and Kα2). Input: a DFT-relaxed cell (GGA-PBE, the Materials Project).

The 8 most intense peaks (2θ from 10° to 80°), most intense first:
| 2θ/deg | Rel. int. |
| --- | --- |
| 24.7 | 100.0 |
| 34.7 | 55.3 |
| 25.4 | 50.6 |
| 33.7 | 47.9 |
| 45.3 | 46.4 |
| 26.3 | 37.9 |
| 30.3 | 35.6 |
| 40.0 | 35.6 |

Cell and atoms:
```
data_Nd3InS6
_chemical_formula_sum 'Nd12 In4 S24'
_symmetry_space_group_name_H-M 'P 21 21 2'
_symmetry_Int_Tables_number 18
_cell_length_a 13.801
_cell_length_b 16.879
_cell_length_c 4.006
_cell_angle_alpha 90.00
_cell_angle_beta 90.00
_cell_angle_gamma 90.00
loop_
_symmetry_equiv_pos_as_xyz
'x,y,z'
'-x,-y,z'
'x+1/2,-y+1/2,-z'
'-x+1/2,y+1/2,-z'
loop_
_atom_site_label
_atom_site_fract_x
_atom_site_fract_y
_atom_site_fract_z
Nd1 0.037 0.222 0.246
Nd2 0.191 0.644 0.247
Nd3 0.248 0.391 0.239
In1 0.000 0.000 0.906
In2 0.000 0.500 0.746
S1 0.021 0.396 0.246
S2 0.102 0.910 0.266
S3 0.107 0.111 0.747
S4 0.114 0.744 0.748
S5 0.178 0.282 0.743
S6 0.189 0.518 0.745
```